Simulated powder diffractogram of CaMn2ZnO4 for Cu Ka, from a crystal structure in Alexandria, relaxed with GGA+U.
Kinematic intensities with the Lorentz-polarization factor, no thermal factor.

```
data_CaMn2ZnO4
_chemical_formula_sum 'Ca4 Mn8 Zn4 O16'
_space_group_name_H-M_alt 'I m m a'
_space_group_IT_number 74
_space_group_name_Hall '-I 2b 2'
_cell_length_a 6.397
_cell_length_b 6.437
_cell_length_c 9.163
_cell_angle_alpha 90.00
_cell_angle_beta 90.00
_cell_angle_gamma 90.00
loop_
_atom_site_label
_atom_site_fract_x
_atom_site_fract_y
_atom_site_fract_z
Ca1 0.000 0.000 0.000
Mn1 0.000 0.000 0.500
Mn2 0.250 0.250 0.250
Zn1 0.250 0.250 0.750
O1 0.000 0.012 0.745
O2 0.240 0.250 0.493
```

Largest 12 diffraction maxima, sorted by position, 2θ from 10° to 90°:
- 34.0°, d 2.634, intensity 472, hkl 0 2 2
- 34.2°, d 2.623, intensity 466, hkl 2 0 2
- 39.3°, d 2.291, intensity 515, hkl 0 0 4
- 39.7°, d 2.269, intensity 1000, hkl 2 2 0
- 57.1°, d 1.612, intensity 599, hkl 2 2 4
- 57.2°, d 1.609, intensity 149, hkl 0 4 0
- 57.6°, d 1.599, intensity 146, hkl 4 0 0
- 68.0°, d 1.379, intensity 130, hkl 2 0 6
- 68.4°, d 1.372, intensity 127, hkl 2 4 2
- 68.7°, d 1.367, intensity 125, hkl 4 2 2
- 71.7°, d 1.317, intensity 137, hkl 0 4 4
- 72.0°, d 1.311, intensity 136, hkl 4 0 4